The following is a calculated powder diffractogram of Rb4Pm3FeO8. It was derived from a structure optimized by DFT (GGA+U), using Cu Kα X-rays.
Neutral-atom scattering factors, no anomalous dispersion.

Atomic structure:
Lattice parameters (Å, degrees): 7.7240 7.7240 7.7240 54.39 54.39 54.39
Fractional positions:
Rb: 0.0000 0.0000 0.0000
Rb: 0.0000 0.5000 0.5000
Rb: 0.5000 0.0000 0.5000
Rb: 0.5000 0.5000 0.0000
Pm: 0.0000 0.0000 0.5000
Pm: 0.0000 0.5000 0.0000
Pm: 0.5000 0.0000 0.0000
Fe: 0.5000 0.5000 0.5000
O: 0.2272 0.2272 0.2272
O: 0.2472 0.7138 0.7138
O: 0.2862 0.2862 0.7528
O: 0.2862 0.7528 0.2862
O: 0.7138 0.2472 0.7138
O: 0.7138 0.7138 0.2472
O: 0.7528 0.2862 0.2862
O: 0.7728 0.7728 0.7728

Main lines, most intense first (5 to 70 degrees two-theta):
- 34.54 deg, rel. 100
- 30.62 deg, rel. 78
- 27.18 deg, rel. 40
- 47.43 deg, rel. 35
- 51.80 deg, rel. 31
- 59.47 deg, rel. 28
- 55.53 deg, rel. 20
- 13.50 deg, rel. 17